# 1
Calculated powder XRD pattern of Li4Cr3NiO8 for Cu Kα, from a structure optimized by DFT (PBE+U).
Kinematic intensities with the Lorentz-polarization factor, no thermal factor.

The 6 most intense peaks (10° ≤ 2θ ≤ 90°), by intensity:
(0 0 2), 18.37°, rel. 100.0; (2 2 -2), 43.31°, rel. 52.9; (2 4 0), 62.90°, rel. 28.4; (0 2 0), 35.58°, rel. 27.9; (0 2 2), 43.20°, rel. 26.7; (2 -2 2), 62.76°, rel. 14.2

Atomic structure:
Cell lengths 5.9087, 5.9093, 10.2384 Å; angles 89.98, 73.29, 60.14 degrees
Space group P-1 (No. 2)
Unique sites:
Li (0.0039, 0.2482, 0.2477) [2 per cell]
Li (0.0088, 0.7442, 0.2499) [2 per cell]
Li (0.4919, 0.7498, 0.2532) [2 per cell]
Li (0.4945, 0.2571, 0.2494) [2 per cell]
Cr (0.0000, 0.0000, 0.0000) [1 per cell]
Cr (0.0000, 0.5000, 0.0000) [1 per cell]
Cr (0.0000, 0.5000, 0.5000) [1 per cell]
Cr (0.5000, 0.0000, 0.0000) [1 per cell]
Cr (0.5000, 0.0000, 0.5000) [1 per cell]
Cr (0.5000, 0.5000, 0.5000) [1 per cell]
Ni (0.0000, 0.0000, 0.5000) [1 per cell]
Ni (0.5000, 0.5000, 0.0000) [1 per cell]
O (0.2253, 0.6473, 0.8879) [2 per cell]
O (0.2404, 0.1287, 0.8873) [2 per cell]
O (0.2412, 0.8863, 0.1134) [2 per cell]
O (0.2467, 0.6223, 0.3851) [2 per cell]
O (0.2557, 0.3683, 0.1138) [2 per cell]
O (0.2584, 0.1282, 0.3879) [2 per cell]
O (0.2596, 0.3677, 0.6134) [2 per cell]
O (0.2764, 0.8715, 0.6113) [2 per cell]

# 2
Calculated powder XRD pattern of MoH14C6N2O4F2 for Cu Kα, from a structure optimized by DFT (PBE+U).
Kinematic intensities with the Lorentz-polarization factor, no thermal factor.

The 6 most intense peaks (10° ≤ 2θ ≤ 90°), by intensity:
(1 1 -2), 19.31°, rel. 100.0; (1 1 0), 13.08°, rel. 94.5; (2 0 0), 14.03°, rel. 89.6; (3 1 0), 23.88°, rel. 69.9; (1 1 2), 21.00°, rel. 66.6; (1 1 -1), 14.59°, rel. 55.9

Atomic structure:
Cell lengths 12.7866, 8.0155, 11.7361 Å; angles 90.00, 99.04, 90.00 degrees
Space group C2/c (No. 15)
Unique sites:
Mo (0.0000, 0.0555, 0.2500) [4 per cell]
H (0.0610, 0.1754, 0.5095) [8 per cell]
H (0.1037, 0.2904, 0.6812) [8 per cell]
H (0.1073, 0.4867, 0.1837) [8 per cell]
H (0.1364, 0.3357, 0.9970) [8 per cell]
H (0.1679, 0.4661, 0.8833) [8 per cell]
H (0.2273, 0.3976, 0.6917) [8 per cell]
H (0.2380, 0.0616, 0.9884) [8 per cell]
C (0.0882, 0.2812, 0.4618) [8 per cell]
C (0.1433, 0.4008, 0.6530) [8 per cell]
C (0.1774, 0.4496, 0.9766) [8 per cell]
N (0.1331, 0.4050, 0.5271) [8 per cell]
O (0.0710, 0.0787, 0.8492) [8 per cell]
O (0.0764, 0.2801, 0.3525) [8 per cell]
F (0.1115, 0.1081, 0.1618) [8 per cell]

# 3
Calculated powder XRD pattern of GdCrO3 for Cu Kα, from a structure optimized by DFT (PBE+U).
Kinematic intensities with the Lorentz-polarization factor, no thermal factor.

The 6 most intense peaks (10° ≤ 2θ ≤ 90°), by intensity:
(1 1 0), 32.71°, rel. 100.0; (2 1 1), 58.38°, rel. 37.9; (2 0 0), 46.94°, rel. 31.4; (1 1 1), 40.35°, rel. 22.8; (1 0 0), 22.97°, rel. 21.7; (2 2 0), 68.55°, rel. 18.4

Atomic structure:
Cell lengths 3.8717, 3.8717, 3.8717 Å; angles 90.00, 90.00, 90.00 degrees
Space group Pm-3m (No. 221)
Unique sites:
Gd (0.0000, 0.0000, 0.0000) [1 per cell]
Cr (0.5000, 0.5000, 0.5000) [1 per cell]
O (0.0000, 0.5000, 0.5000) [3 per cell]

# 4
Calculated powder XRD pattern of U3W2O17F2 for Cu Kα, from a structure optimized by DFT (PBE+U).
Kinematic intensities with the Lorentz-polarization factor, no thermal factor.

The 6 most intense peaks (10° ≤ 2θ ≤ 90°), by intensity:
(0 2 0), 10.32°, rel. 100.0; (0 4 0), 20.72°, rel. 48.0; (2 0 -3), 26.81°, rel. 23.0; (2 0 1), 23.64°, rel. 22.4; (4 2 -1), 28.76°, rel. 19.2; (4 0 -2), 25.99°, rel. 16.2

Atomic structure:
Cell lengths 13.8492, 17.1573, 10.0360 Å; angles 90.00, 125.05, 90.00 degrees
Space group C2/m (No. 12)
Unique sites:
U (0.0495, 0.2492, 0.3466) [8 per cell]
U (0.1708, 0.0000, 0.1161) [4 per cell]
W (0.2382, 0.2351, 0.1519) [8 per cell]
O (0.0454, 0.3534, 0.3547) [8 per cell]
O (0.0490, 0.1452, 0.3391) [8 per cell]
O (0.1156, 0.5000, 0.7362) [4 per cell]
O (0.1198, 0.2551, 0.1786) [8 per cell]
O (0.1216, 0.2464, 0.6363) [8 per cell]
O (0.1408, 0.2511, 0.9112) [8 per cell]
O (0.1570, 0.0000, 0.9269) [4 per cell]
O (0.1954, 0.0000, 0.3129) [4 per cell]
O (0.2349, 0.3576, 0.1467) [8 per cell]
O (0.2396, 0.1295, 0.1552) [8 per cell]
F (0.0000, 0.0748, 0.0000) [4 per cell]
F (0.2500, 0.2500, 0.5000) [4 per cell]

# 5
Calculated powder XRD pattern of Li4Mn3Ni3Sb2O16 for Cu Kα, from a structure optimized by DFT (PBE+U).
Kinematic intensities with the Lorentz-polarization factor, no thermal factor.

The 6 most intense peaks (10° ≤ 2θ ≤ 90°), by intensity:
(1 1 1), 19.78°, rel. 100.0; (1 1 -1), 19.58°, rel. 69.7; (3 1 2), 35.97°, rel. 46.5; (4 0 1), 36.47°, rel. 36.9; (2 0 -1), 19.41°, rel. 36.3; (0 2 2), 35.77°, rel. 35.1

Atomic structure:
Cell lengths 10.2755, 5.8901, 9.6030 Å; angles 90.00, 91.35, 90.00 degrees
Space group Cm (No. 8)
Unique sites:
Li (0.0000, 0.0000, 0.0000) [2 per cell]
Li (0.0029, 0.0000, 0.5065) [2 per cell]
Li (0.1735, 0.5000, 0.0868) [2 per cell]
Li (0.3414, 0.0000, 0.5949) [2 per cell]
Mn (0.3300, 0.5000, 0.7778) [2 per cell]
Mn (0.4163, 0.2461, 0.2793) [4 per cell]
Ni (0.0862, 0.2539, 0.7808) [4 per cell]
Ni (0.1718, 0.0000, 0.2794) [2 per cell]
Sb (0.1628, 0.5000, 0.5087) [2 per cell]
Sb (0.3306, 0.0000, 0.0026) [2 per cell]
O (0.0214, 0.5000, 0.6458) [2 per cell]
O (0.0802, 0.2479, 0.3975) [4 per cell]
O (0.1620, 0.0000, 0.9044) [2 per cell]
O (0.1768, 0.5000, 0.8834) [2 per cell]
O (0.2513, 0.2807, 0.6470) [4 per cell]
O (0.2676, 0.2281, 0.1492) [4 per cell]
O (0.3334, 0.5000, 0.3929) [2 per cell]
O (0.3467, 0.0000, 0.3832) [2 per cell]
O (0.4121, 0.2542, 0.8966) [4 per cell]
O (0.4852, 0.0000, 0.1511) [2 per cell]
O (0.4929, 0.5000, 0.1894) [2 per cell]
O (0.4939, 0.5000, 0.6922) [2 per cell]

# 6
Calculated powder XRD pattern of Li6CoSi2O8 for Cu Kα, from a structure optimized by DFT (PBE+U).
Kinematic intensities with the Lorentz-polarization factor, no thermal factor.

The 6 most intense peaks (10° ≤ 2θ ≤ 90°), by intensity:
(0 1 1), 21.56°, rel. 100.0; (0 0 1), 14.46°, rel. 68.9; (1 1 0), 22.87°, rel. 42.5; (1 1 -1), 29.02°, rel. 40.6; (1 2 -1), 40.17°, rel. 34.7; (0 1 0), 16.10°, rel. 34.4

Atomic structure:
Cell lengths 5.1069, 5.5341, 6.2330 Å; angles 88.18, 79.29, 84.28 degrees
Space group P-1 (No. 2)
Unique sites:
Li (0.1175, 0.2482, 0.0349) [2 per cell]
Li (0.2798, 0.3618, 0.6114) [2 per cell]
Li (0.3341, 0.5852, 0.1907) [2 per cell]
Co (0.0000, 0.0000, 0.5000) [1 per cell]
Si (0.3723, 0.7962, 0.7196) [2 per cell]
O (0.1907, 0.0568, 0.7729) [2 per cell]
O (0.2642, 0.5812, 0.8953) [2 per cell]
O (0.2997, 0.2189, 0.2958) [2 per cell]
O (0.3062, 0.7125, 0.4815) [2 per cell]

# 7
Calculated powder XRD pattern of Mg2Ni3O8 for Cu Kα, from a structure optimized by DFT (PBE+U).
Kinematic intensities with the Lorentz-polarization factor, no thermal factor.

The 6 most intense peaks (10° ≤ 2θ ≤ 90°), by intensity:
(2 0 0), 18.73°, rel. 100.0; (2 2 -1), 38.94°, rel. 50.2; (4 2 -1), 49.00°, rel. 44.8; (1 1 1), 29.23°, rel. 27.8; (1 1 0), 18.24°, rel. 25.9; (0 0 2), 39.98°, rel. 25.4

Atomic structure:
Cell lengths 10.0535, 5.6669, 4.7861 Å; angles 90.00, 109.56, 90.00 degrees
Space group C2/m (No. 12)
Unique sites:
Mg (0.2198, 0.0000, 0.1494) [4 per cell]
Ni (0.0000, 0.2452, 0.5000) [4 per cell]
Ni (0.0000, 0.5000, 0.0000) [2 per cell]
O (0.1031, 0.5000, 0.4094) [4 per cell]
O (0.1097, 0.0000, 0.4456) [4 per cell]
O (0.1128, 0.2751, 0.8972) [8 per cell]